Structure and theoretical PXRD pattern of FeTe6O13 (a DFT-relaxed cell (PBE+U, Alexandria); copper Kα).

Crystal structure
Cell lengths 8.8324, 8.8324, 8.8324 Å; angles 71.98, 71.98, 71.98 degrees
Fractional positions:
Fe  0.2438  0.2438  0.2438
Fe  0.7562  0.7562  0.7562
Te  0.0329  0.3238  0.9222
Te  0.0778  0.9671  0.6762
Te  0.1665  0.5570  0.4887
Te  0.3238  0.9222  0.0329
Te  0.4430  0.5113  0.8335
Te  0.4887  0.1665  0.5570
Te  0.5113  0.8335  0.4430
Te  0.5570  0.4887  0.1665
Te  0.6762  0.0778  0.9671
Te  0.8335  0.4430  0.5113
Te  0.9222  0.0329  0.3238
Te  0.9671  0.6762  0.0778
O  0.0427  0.1373  0.3866
O  0.1001  0.4007  0.4182
O  0.1112  0.7971  0.8745
O  0.1255  0.8888  0.2029
O  0.1373  0.3866  0.0427
O  0.1989  0.4419  0.6992
O  0.2029  0.1255  0.8888
O  0.3008  0.8011  0.5581
O  0.3866  0.0427  0.1373
O  0.4007  0.4182  0.1001
O  0.4105  0.4105  0.4105
O  0.4182  0.1001  0.4007
O  0.4419  0.6992  0.1989
O  0.5581  0.3008  0.8011
O  0.5818  0.8999  0.5993
O  0.5895  0.5895  0.5895
O  0.5993  0.5818  0.8999
O  0.6134  0.9573  0.8627
O  0.6992  0.1989  0.4419
O  0.7971  0.8745  0.1112
O  0.8011  0.5581  0.3008
O  0.8627  0.6134  0.9573
O  0.8745  0.1112  0.7971
O  0.8888  0.2029  0.1255
O  0.8999  0.5993  0.5818
O  0.9573  0.8627  0.6134

Principal peaks in the range 15° ≤ 2θ ≤ 90°, low angle first:
2theta	I_rel
20.8	13
21.8	17
27.5	38
27.8	100
32.1	49
45.9	23
46.3	25
47.9	10
54.3	12
54.7	23
54.9	13
57.5	11